1.
Simulated X-ray powder pattern
Compound: Sc2In
Radiation: Cu Kα, 1.54184 Å
Structure: a GGA-PBE-relaxed structure
Intensities are scaled so that the largest is 100.

Structural model:
Lattice parameters (Å, degrees): 5.0585 5.0585 6.2998 90.00 90.00 120.00
Space group P6_3/mmc (No. 194)
Asymmetric unit:
Sc 0.0000 0.0000 0.0000 x2
Sc 0.3333 0.6667 0.2500 x2
In 0.3333 0.6667 0.7500 x2

Principal peaks in the range 10 to 80 degrees two-theta, low angle first:
- 2θ = 20.27°, rel. 12, (1 0 0)
- 2θ = 24.75°, rel. 45, (1 0 1)
- 2θ = 28.33°, rel. 20, (0 0 2)
- 2θ = 35.09°, rel. 76, (1 0 2)
- 2θ = 35.49°, rel. 100, (1 1 0)
- 2θ = 46.02°, rel. 30, (1 1 2)
- 2θ = 50.77°, rel. 25, (2 0 2)
- 2θ = 63.47°, rel. 24, (2 1 2)
- 2θ = 63.73°, rel. 16, (3 0 0)
- 2θ = 70.43°, rel. 24, (1 1 4)

---

2.
Simulated X-ray powder pattern
Compound: ZrCrCo
Radiation: Cu Kα, 1.54184 Å
Structure: a GGA-PBE-relaxed structure
Intensities are scaled so that the largest is 100.

Structural model:
Lattice parameters (Å, degrees): 7.8864 4.9661 8.8087 90.00 90.00 90.00
Space group Amm2 (No. 38)
Asymmetric unit:
Zr 0.1843 0.0000 0.0000 x4
Zr 0.3072 0.0000 0.6684 x4
Cr 0.2494 0.0000 0.3368 x4
Cr 0.5000 0.2489 0.9172 x4
Co 0.0000 0.0000 0.5023 x2
Co 0.0000 0.2493 0.2511 x4
Co 0.5000 0.0000 0.1617 x2

Principal peaks in the range 10 to 80 degrees two-theta, low angle first:
- 2θ = 35.52°, rel. 43, (0 1 3)
- 2θ = 36.18°, rel. 22, (0 2 0)
- 2θ = 39.94°, rel. 37, (3 0 2)
- 2θ = 40.14°, rel. 78, (3 1 1)
- 2θ = 42.48°, rel. 100, (2 1 3)
- 2θ = 42.63°, rel. 38, (1 0 4)
- 2θ = 43.05°, rel. 45, (2 2 0)
- 2θ = 43.38°, rel. 69, (1 2 2)
- 2θ = 74.45°, rel. 25, (5 2 2)
- 2θ = 75.18°, rel. 25, (0 2 6)

---

3.
Simulated X-ray powder pattern
Compound: LaGeIr
Radiation: Cu Kα, 1.54184 Å
Structure: a GGA-PBE-relaxed structure
Intensities are scaled so that the largest is 100.

Structural model:
Lattice parameters (Å, degrees): 4.3363 4.3363 14.5077 90.00 90.00 90.00
Space group I4_1md (No. 109)
Asymmetric unit:
La 0.0000 0.0000 0.0000 x4
Ge 0.0000 0.0000 0.4165 x4
Ir 0.0000 0.0000 0.5854 x4

Principal peaks in the range 10 to 80 degrees two-theta, low angle first:
- 2θ = 21.39°, rel. 19, (1 0 1)
- 2θ = 27.63°, rel. 30, (1 0 3)
- 2θ = 31.68°, rel. 100, (1 1 2)
- 2θ = 37.29°, rel. 57, (1 0 5)
- 2θ = 41.66°, rel. 48, (2 0 0)
- 2θ = 48.70°, rel. 25, (1 0 7)
- 2θ = 57.13°, rel. 33, (2 1 5)
- 2θ = 60.38°, rel. 16, (2 2 0)
- 2θ = 65.97°, rel. 20, (2 1 7)
- 2θ = 69.80°, rel. 21, (3 1 2)

---

4.
Simulated X-ray powder pattern
Compound: MgTiCuP3O12
Radiation: Cu Kα, 1.54184 Å
Structure: a GGA-PBE-relaxed structure
Intensities are scaled so that the largest is 100.

Structural model:
Lattice parameters (Å, degrees): 8.6021 8.6021 20.6343 90.00 90.00 120.00
Space group R3c (No. 161, hexagonal axes)
Asymmetric unit:
Mg 0.0000 0.0000 0.0000 x6
Ti 0.0000 0.0000 0.3526 x6
Cu 0.0000 0.0000 0.1408 x6
P 0.0388 0.3716 0.4121 x18
O 0.0034 0.1887 0.8059 x18
O 0.0191 0.1824 0.4218 x18
O 0.1339 0.4632 0.3497 x18
O 0.1685 0.4824 0.7387 x18

Principal peaks in the range 10 to 80 degrees two-theta, low angle first:
- 2θ = 20.65°, rel. 52, (1 1 0)
- 2θ = 20.95°, rel. 29, (1 0 4)
- 2θ = 24.41°, rel. 100, (1 1 3)
- 2θ = 29.58°, rel. 21, (0 2 4)
- 2θ = 32.08°, rel. 16, (2 1 1)
- 2θ = 33.36°, rel. 48, (1 1 6)
- 2θ = 36.17°, rel. 27, (3 0 0)
- 2θ = 47.82°, rel. 22, (1 2 8)
- 2θ = 50.02°, rel. 19, (2 2 6)
- 2θ = 56.62°, rel. 17, (4 1 0)

---

5.
Simulated X-ray powder pattern
Compound: Na15Y2C9SClO30F
Radiation: Cu Kα, 1.54184 Å
Structure: a GGA-PBE-relaxed structure
Intensities are scaled so that the largest is 100.

Structural model:
Lattice parameters (Å, degrees): 8.9018 8.9018 10.8298 90.00 90.00 120.00
Space group P3 (No. 143)
Asymmetric unit:
Na 0.0000 0.0000 0.0000 x1
Na 0.0000 0.0000 0.3995 x1
Na 0.0496 0.3575 0.1970 x3
Na 0.1036 0.6824 0.4575 x3
Na 0.1070 0.6791 0.9328 x3
Na 0.2208 0.2056 0.7000 x3
Na 0.6667 0.3333 0.6989 x1
Y 0.6667 0.3333 0.0213 x1
Y 0.6667 0.3333 0.3760 x1
C 0.3102 0.2616 0.1992 x3
C 0.3506 0.0829 0.4983 x3
C 0.3507 0.0874 0.9004 x3
S 0.3333 0.6667 0.6547 x1
Cl 0.3333 0.6667 0.2499 x1
O 0.0061 0.7718 0.3019 x3
O 0.0125 0.7669 0.0957 x3
O 0.0197 0.2214 0.8548 x3
O 0.0232 0.2246 0.5442 x3
O 0.1571 0.6362 0.6841 x3
O 0.4204 0.0392 0.4088 x3
O 0.4197 0.0484 0.9930 x3
O 0.4409 0.2439 0.5377 x3
O 0.4423 0.2466 0.8571 x3
O 0.4766 0.3044 0.2004 x3
F 0.3333 0.6667 0.9054 x1

Principal peaks in the range 10 to 80 degrees two-theta, low angle first:
- 2θ = 11.48°, rel. 69, (1 0 0)
- 2θ = 14.10°, rel. 29, (1 0 1)
- 2θ = 20.00°, rel. 50, (1 1 0)
- 2θ = 23.07°, rel. 28, (2 0 0)
- 2θ = 31.92°, rel. 55, (1 1 3)
- 2θ = 34.03°, rel. 25, (2 0 3)
- 2θ = 34.95°, rel. 100, (3 0 0)
- 2θ = 39.75°, rel. 70, (3 -2 3)
- 2θ = 49.55°, rel. 22, (4 -1 3)
- 2θ = 54.56°, rel. 45, (4 1 0)

---

6.
Simulated X-ray powder pattern
Compound: Rb2TlAsI6
Radiation: Cu Kα, 1.54184 Å
Structure: a GGA-PBE-relaxed structure
Intensities are scaled so that the largest is 100.

Structural model:
Lattice parameters (Å, degrees): 12.3407 12.3407 12.3407 90.00 90.00 90.00
Space group Fm-3m (No. 225)
Asymmetric unit:
Rb 0.2500 0.2500 0.2500 x8
Tl 0.0000 0.0000 0.0000 x4
As 0.0000 0.0000 0.5000 x4
I 0.0000 0.0000 0.2664 x24

Principal peaks in the range 10 to 80 degrees two-theta, low angle first:
- 2θ = 14.35°, rel. 49, (2 0 0)
- 2θ = 20.35°, rel. 15, (2 2 0)
- 2θ = 25.00°, rel. 56, (2 2 2)
- 2θ = 28.94°, rel. 100, (4 0 0)
- 2θ = 32.45°, rel. 24, (4 2 0)
- 2θ = 41.39°, rel. 73, (4 4 0)
- 2θ = 48.96°, rel. 23, (6 2 2)
- 2θ = 51.29°, rel. 25, (4 4 4)
- 2θ = 67.94°, rel. 30, (8 4 0)
- 2θ = 75.48°, rel. 21, (8 4 4)

---

7.
Simulated X-ray powder pattern
Compound: LaSiNi
Radiation: Cu Kα, 1.54184 Å
Structure: a GGA-PBE-relaxed structure
Intensities are scaled so that the largest is 100.

Structural model:
Lattice parameters (Å, degrees): 4.1817 4.1817 14.0197 90.00 90.00 90.00
Space group I4_1md (No. 109)
Asymmetric unit:
La 0.0000 0.0000 0.0000 x4
Si 0.0000 0.0000 0.5797 x4
Ni 0.0000 0.0000 0.4110 x4

Principal peaks in the range 10 to 80 degrees two-theta, low angle first:
- 2θ = 22.18°, rel. 13, (1 0 1)
- 2θ = 28.65°, rel. 45, (1 0 3)
- 2θ = 32.87°, rel. 100, (1 1 2)
- 2θ = 38.66°, rel. 46, (1 0 5)
- 2θ = 43.27°, rel. 36, (2 0 0)
- 2θ = 50.53°, rel. 19, (1 0 7)
- 2θ = 52.72°, rel. 16, (2 1 3)
- 2θ = 59.41°, rel. 25, (2 1 5)
- 2θ = 68.67°, rel. 15, (2 1 7)
- 2θ = 72.78°, rel. 19, (3 1 2)

---

8.
Simulated X-ray powder pattern
Compound: Fe3W10C3
Radiation: Cu Kα, 1.54184 Å
Structure: a GGA-PBE-relaxed structure
Intensities are scaled so that the largest is 100.

Structural model:
Lattice parameters (Å, degrees): 7.9135 7.9135 8.0600 90.00 90.00 120.00
Space group P6_3/mmc (No. 194)
Asymmetric unit:
Fe 0.0925 0.5462 0.2500 x6
W 0.0000 0.0000 0.0000 x2
W 0.1205 0.2409 0.2500 x6
W 0.2095 0.4190 0.5664 x12
C 0.0000 0.5000 0.0000 x6

Principal peaks in the range 10 to 80 degrees two-theta, low angle first:
- 2θ = 12.92°, rel. 36, (1 0 0)
- 2θ = 34.63°, rel. 38, (2 1 0)
- 2θ = 35.90°, rel. 43, (1 0 3)
- 2θ = 39.45°, rel. 20, (3 0 0)
- 2θ = 41.07°, rel. 70, (3 0 1)
- 2θ = 41.44°, rel. 100, (2 1 2)
- 2θ = 42.77°, rel. 62, (2 0 3)
- 2θ = 69.24°, rel. 23, (3 2 3)
- 2θ = 71.54°, rel. 22, (3 3 0)
- 2θ = 71.65°, rel. 27, (3 0 5)

---

9.
Simulated X-ray powder pattern
Compound: PbI2
Radiation: Cu Kα, 1.54184 Å
Structure: a GGA-PBE-relaxed structure
Intensities are scaled so that the largest is 100.

Structural model:
Lattice parameters (Å, degrees): 4.6894 4.6894 7.5032 90.00 90.00 120.00
Space group P-3m1 (No. 164)
Asymmetric unit:
Pb 0.0000 0.0000 0.0000 x1
I 0.3333 0.6667 0.7530 x2

Principal peaks in the range 10 to 80 degrees two-theta, low angle first:
- 2θ = 11.79°, rel. 44, (0 0 1)
- 2θ = 24.93°, rel. 100, (1 0 1)
- 2θ = 32.49°, rel. 63, (1 0 2)
- 2θ = 38.39°, rel. 38, (1 1 0)
- 2θ = 42.45°, rel. 26, (0 1 3)
- 2θ = 46.32°, rel. 19, (0 2 1)
- 2θ = 51.15°, rel. 18, (0 2 2)
- 2θ = 61.68°, rel. 16, (2 1 1)
- 2θ = 63.51°, rel. 17, (1 1 4)
- 2θ = 65.73°, rel. 17, (2 1 2)

---

Please write out number 8 again, unchanged.
Simulated X-ray powder pattern
Compound: Fe3W10C3
Radiation: Cu Kα, 1.54184 Å
Structure: a GGA-PBE-relaxed structure
Intensities are scaled so that the largest is 100.

Structural model:
Lattice parameters (Å, degrees): 7.9135 7.9135 8.0600 90.00 90.00 120.00
Space group P6_3/mmc (No. 194)
Asymmetric unit:
Fe 0.0925 0.5462 0.2500 x6
W 0.0000 0.0000 0.0000 x2
W 0.1205 0.2409 0.2500 x6
W 0.2095 0.4190 0.5664 x12
C 0.0000 0.5000 0.0000 x6

Principal peaks in the range 10 to 80 degrees two-theta, low angle first:
- 2θ = 12.92°, rel. 36, (1 0 0)
- 2θ = 34.63°, rel. 38, (2 1 0)
- 2θ = 35.90°, rel. 43, (1 0 3)
- 2θ = 39.45°, rel. 20, (3 0 0)
- 2θ = 41.07°, rel. 70, (3 0 1)
- 2θ = 41.44°, rel. 100, (2 1 2)
- 2θ = 42.77°, rel. 62, (2 0 3)
- 2θ = 69.24°, rel. 23, (3 2 3)
- 2θ = 71.54°, rel. 22, (3 3 0)
- 2θ = 71.65°, rel. 27, (3 0 5)